(1)
The following is a computed powder XRD pattern of LuCuSb2. It was derived from a DFT-relaxed cell (GGA-PBE, the Materials Project), using CuKα.

Principal peaks in the range 10 to 80 degrees two-theta, sorted by position:
- d = 2.581 Å, 2θ 34.75, I = 17
- d = 2.562 Å, 2θ 35.03, I = 100
- d = 2.131 Å, 2θ 42.42, I = 38
- d = 1.771 Å, 2θ 51.62, I = 14
- d = 1.507 Å, 2θ 61.55, I = 12
- d = 1.299 Å, 2θ 72.83, I = 23

a = 4.2614 Å, b = 4.2614 Å, c = 9.7324 Å
α = 90.00°, β = 90.00°, γ = 90.00°
Fractional coordinates of all 8 atoms:
Lu: 0.2500 0.2500 0.2477
Lu: 0.7500 0.7500 0.7523
Cu: 0.2500 0.7500 0.5000
Cu: 0.7500 0.2500 0.5000
Sb: 0.2500 0.2500 0.6662
Sb: 0.2500 0.7500 0.0000
Sb: 0.7500 0.2500 0.0000
Sb: 0.7500 0.7500 0.3338



(2)
The following is a computed powder XRD pattern of LuScCu2. It was derived from a DFT-relaxed cell (GGA-PBE, the Materials Project), using CuKα.

Principal peaks in the range 10 to 80 degrees two-theta, sorted by position:
- d = 3.856 Å, 2θ 23.07, I = 31
- d = 2.361 Å, 2θ 38.11, I = 100
- d = 2.014 Å, 2θ 45.02, I = 17
- d = 1.670 Å, 2θ 55.00, I = 17
- d = 1.532 Å, 2θ 60.42, I = 7
- d = 1.363 Å, 2θ 68.87, I = 33

a = 6.6787 Å, b = 6.6787 Å, c = 6.6787 Å
α = 90.00°, β = 90.00°, γ = 90.00°
Fractional coordinates of all 16 atoms:
Lu: 0.0000 0.0000 0.0000
Lu: 0.0000 0.5000 0.5000
Lu: 0.5000 0.0000 0.5000
Lu: 0.5000 0.5000 0.0000
Sc: 0.0000 0.0000 0.5000
Sc: 0.0000 0.5000 0.0000
Sc: 0.5000 0.0000 0.0000
Sc: 0.5000 0.5000 0.5000
Cu: 0.2500 0.2500 0.2500
Cu: 0.2500 0.2500 0.7500
Cu: 0.2500 0.7500 0.2500
Cu: 0.2500 0.7500 0.7500
Cu: 0.7500 0.2500 0.2500
Cu: 0.7500 0.2500 0.7500
Cu: 0.7500 0.7500 0.2500
Cu: 0.7500 0.7500 0.7500



(3)
The following is a computed powder XRD pattern of Lu3Cu4Si4. It was derived from a DFT-relaxed cell (GGA-PBE, the Materials Project), using CuKα.

Principal peaks in the range 10 to 80 degrees two-theta, sorted by position:
- d = 3.898 Å, 2θ 22.82, I = 20
- d = 3.684 Å, 2θ 24.16, I = 23
- d = 2.487 Å, 2θ 36.12, I = 100
- d = 2.407 Å, 2θ 37.37, I = 81
- d = 2.036 Å, 2θ 44.49, I = 26
- d = 1.942 Å, 2θ 46.77, I = 27

a = 7.7343 Å, b = 7.7343 Å, c = 7.7343 Å
α = 149.47°, β = 130.59°, γ = 59.20°
Fractional coordinates of all 11 atoms:
Lu: 0.0000 0.0000 0.0000
Lu: 0.3724 0.8724 0.5000
Lu: 0.6276 0.1276 0.5000
Cu: 0.0216 0.3302 0.6914
Cu: 0.3612 0.6698 0.6914
Cu: 0.6388 0.3302 0.3086
Cu: 0.9784 0.6698 0.3086
Si: 0.2171 0.2171 0.0000
Si: 0.3136 0.5000 0.8136
Si: 0.6864 0.5000 0.1864
Si: 0.7829 0.7829 0.0000